This entry pairs a crystal structure of Na2B5Os3 with its computed powder XRD pattern. Radiation: copper Kα. Structure: a structure optimized by DFT (GGA-PBE).

Structure:
abc: 10.460 4.086 7.710
angles: 90.00 122.44 90.00
Space group C2 (No. 5)
Unique sites:
Na 0.160 0.000 0.273
B 0.000 0.498 0.000
B 0.031 0.725 0.623
B 0.142 0.001 0.811
Os 0.000 0.218 0.500
Os 0.139 0.482 0.904

Top 12 peaks for 2θ = 15–90°, low angle first:
Position (°2θ)	I/Imax
17.2	100
24.0	33
30.3	55
33.9	31
35.0	29
35.2	18
35.7	27
37.7	15
40.8	22
42.4	21
46.6	22
50.9	24